Record 1
Diffraction record for PrGa4NiRu2. The X-ray diffraction stick pattern is computed, not measured: it uses a cell relaxed with PBE and Cu Kα (λ = 1.5418 Å).

```
data_PrGa4NiRu2
_space_group_name_H-M_alt 'R -3 m'
_space_group_IT_number 166
_space_group_name_Hall '-R 3 2"'
_cell_length_a 4.2349
_cell_length_b 4.2349
_cell_length_c 26.2803
_cell_angle_alpha 90.00
_cell_angle_beta 90.00
_cell_angle_gamma 120.00
loop_
_atom_site_label
_atom_site_type_symbol
_atom_site_fract_x
_atom_site_fract_y
_atom_site_fract_z
Pr1 Pr 0.0000 0.0000 0.0000
Ga1 Ga 0.0000 0.0000 0.1318
Ga2 Ga 0.0000 0.0000 0.4043
Ni1 Ni 0.0000 0.0000 0.5000
Ru1 Ru 0.0000 0.0000 0.2293
```

Main lines, most intense first (2θ from 15° to 90°):
h k l, d (Å), I/Imax
1 1 0, 2.117, 100.0
0 1 8, 2.447, 66.3
0 1 5, 3.008, 38.7
0 1 11, 2.002, 27.5
2 0 8, 1.601, 17.5
3 0 0, 1.223, 16.2
1 2 8, 1.277, 16.0
1 0 4, 3.202, 11.4
1 0 10, 2.136, 11.2
1 1 9, 1.714, 11.0
1 0 22, 1.136, 10.5
1 2 11, 1.199, 9.5


Record 2
Diffraction record for CaY2Zr. The X-ray diffraction stick pattern is computed, not measured: it uses a cell relaxed with PBE and Cu Kα (λ = 1.5418 Å).

```
data_CaY2Zr
_space_group_name_H-M_alt 'P m m m'
_space_group_IT_number 47
_cell_length_a 3.5231
_cell_length_b 4.6237
_cell_length_c 7.6550
_cell_angle_alpha 90.00
_cell_angle_beta 90.00
_cell_angle_gamma 90.00
loop_
_space_group_symop_operation_xyz
'x,y,z'
'-x,-y,-z'
'-x,-y,z'
'x,y,-z'
'x,-y,-z'
'-x,y,z'
'-x,y,-z'
'x,-y,z'
loop_
_atom_site_label
_atom_site_type_symbol
_atom_site_fract_x
_atom_site_fract_y
_atom_site_fract_z
Ca1 Ca 0.0000 0.0000 0.0000
Y1 Y 0.5000 0.5000 0.2854
Zr1 Zr 0.0000 0.0000 0.5000
```

Main lines, most intense first (2θ from 15° to 90°):
h k l, d (Å), I/Imax
0 1 2, 2.948, 100.0
1 1 0, 2.802, 97.3
1 0 2, 2.592, 69.5
1 2 2, 1.725, 39.1
0 2 0, 2.312, 27.8
2 1 2, 1.512, 24.9
1 1 4, 1.580, 20.1
0 1 3, 2.234, 13.4
1 1 1, 2.632, 13.4
2 0 0, 1.762, 11.8
1 3 0, 1.412, 11.0
2 2 0, 1.401, 10.7


Question: Which formula does entry 1 have?
Answer: PrGa4NiRu2


Question: What is the formula in the second record?
Answer: CaY2Zr